MgNpO5: calculated powder X-ray diffraction pattern (Cu Kα (weighted mean of Kα1 and Kα2)), based on a cell relaxed with PBE.

Crystal structure
Cell: 5.283 10.255 7.287 Å, 90.00 105.73 90.00°
Atoms (fractional coordinates):
1 Mg 0.089 0.244 0.381
2 Mg 0.089 0.256 0.881
3 Mg 0.911 0.744 0.119
4 Mg 0.911 0.756 0.619
5 Np 0.452 0.030 0.748
6 Np 0.452 0.470 0.248
7 Np 0.548 0.530 0.752
8 Np 0.548 0.970 0.252
9 O 0.176 0.588 0.197
10 O 0.176 0.912 0.697
11 O 0.187 0.185 0.652
12 O 0.187 0.315 0.152
13 O 0.261 0.644 0.692
14 O 0.261 0.856 0.192
15 O 0.344 0.094 0.989
16 O 0.344 0.406 0.489
17 O 0.362 0.085 0.389
18 O 0.362 0.415 0.889
19 O 0.638 0.585 0.111
20 O 0.638 0.915 0.611
21 O 0.656 0.594 0.511
22 O 0.656 0.906 0.011
23 O 0.739 0.144 0.808
24 O 0.739 0.356 0.308
25 O 0.813 0.685 0.848
26 O 0.813 0.815 0.348
27 O 0.824 0.088 0.303
28 O 0.824 0.412 0.803

Peak list (12 most intense, 10 to 80 degrees two-theta, by intensity)
2θ/deg, I (rel.)
24.66, 100
17.44, 84
17.29, 76
25.41, 60
30.89, 43
31.97, 36
26.68, 33
39.10, 21
50.20, 21
55.35, 21
21.47, 19
41.74, 18

Hg3Sb2Pb3: calculated powder X-ray diffraction pattern (Cu Kα (weighted mean of Kα1 and Kα2)), based on a cell relaxed with PBE.

Crystal structure
Cell: 6.331 6.331 18.065 Å, 91.76 91.76 138.59°
Atoms (fractional coordinates):
1 Hg 0.046 0.799 0.030
2 Hg 0.070 0.930 0.750
3 Hg 0.201 0.954 0.470
4 Hg 0.799 0.046 0.530
5 Hg 0.930 0.070 0.250
6 Hg 0.954 0.201 0.970
7 Sb 0.190 0.689 0.622
8 Sb 0.311 0.810 0.878
9 Sb 0.689 0.190 0.122
10 Sb 0.810 0.311 0.378
11 Pb 0.190 0.810 0.250
12 Pb 0.416 0.504 0.119
13 Pb 0.496 0.584 0.381
14 Pb 0.504 0.416 0.619
15 Pb 0.584 0.496 0.881
16 Pb 0.810 0.190 0.750

Peak list (12 most intense, 10 to 80 degrees two-theta, by intensity)
2θ/deg, I (rel.)
30.37, 100
27.95, 71
33.00, 58
34.59, 50
30.23, 44
30.60, 44
36.32, 36
40.45, 34
40.08, 28
31.48, 25
29.03, 22
38.16, 20

KRb2CaBr5: calculated powder X-ray diffraction pattern (Cu Kα (weighted mean of Kα1 and Kα2)), based on a cell relaxed with PBE.

Crystal structure
Cell: 9.643 9.643 9.643 Å, 146.48 130.71 60.93°
Atoms (fractional coordinates):
1 K 0.000 0.000 0.000
2 Rb 0.294 0.794 0.500
3 Rb 0.706 0.206 0.500
4 Ca 0.500 0.500 0.000
5 Br 0.123 0.374 0.748
6 Br 0.374 0.626 0.748
7 Br 0.500 0.000 0.500
8 Br 0.626 0.374 0.252
9 Br 0.877 0.626 0.252

Peak list (12 most intense, 10 to 80 degrees two-theta, by intensity)
2θ/deg, I (rel.)
27.90, 100
30.94, 97
45.26, 65
31.35, 65
32.19, 59
12.22, 45
31.86, 43
22.18, 32
19.41, 30
29.06, 27
56.48, 24
55.94, 24

TbErMgHg: calculated powder X-ray diffraction pattern (Cu Kα (weighted mean of Kα1 and Kα2)), based on a cell relaxed with PBE.

Crystal structure
Cell: 3.773 3.773 7.353 Å, 90.00 90.00 90.00°
Atoms (fractional coordinates):
1 Tb 0.000 0.000 0.000
2 Er 0.000 0.000 0.491
3 Mg 0.500 0.500 0.742
4 Hg 0.500 0.500 0.252

Peak list (12 most intense, 10 to 80 degrees two-theta, by intensity)
2θ/deg, I (rel.)
34.05, 100
33.59, 52
60.36, 39
12.04, 31
48.24, 19
61.23, 18
26.55, 17
71.68, 12
35.80, 10
49.59, 9
44.06, 7
70.61, 6